# 1
Starting from a PBE+U-relaxed structure, the powder diffractogram of Na2TbPWO8 was calculated for copper Kα.
No peak broadening, texture or thermal motion is included.

Atomic structure:
```
52
Lattice="-3.495 6.159 9.130 3.495 -6.159 9.130 3.495 6.159 -9.130" Properties=species:S:1:pos:R:3 pbc="T T T"
Na 3.578 -0.707 2.801
Na 0.082 0.707 2.801
Na 3.578 5.451 -2.801
Na 3.578 0.707 6.329
Na -0.082 5.451 2.801
Na -0.082 0.707 11.930
Na 3.413 5.451 6.329
Na -0.082 6.866 6.329
Tb 5.243 2.184 0.000
Tb 1.748 3.975 0.000
Tb 1.748 2.184 9.130
Tb -1.748 3.975 9.130
P 1.748 0.861 0.000
P 1.748 -0.861 9.130
P 1.748 7.020 0.000
P 1.748 5.297 9.130
W 3.495 -3.079 5.866
W 3.495 3.079 3.264
W 0.000 3.079 5.866
W 0.000 9.238 3.264
O 1.861 -0.068 1.237
O 5.356 0.068 1.237
O 3.179 4.549 -4.863
O 2.035 -3.398 6.918
O 3.179 -1.610 4.863
O 2.961 1.829 -0.154
O 1.461 3.398 -2.212
O 0.534 1.829 0.154
O 4.030 4.330 -0.154
O 4.956 2.761 2.212
O 2.961 -1.829 9.284
O 3.179 1.610 4.266
O -0.317 1.610 4.863
O 2.035 3.398 2.212
O 1.861 6.091 -1.237
O 1.861 0.068 7.893
O 1.635 6.091 1.237
O 1.635 0.068 10.367
O 1.461 2.761 6.918
O 3.812 4.549 4.266
O 0.317 4.549 4.863
O 0.534 7.987 -0.154
O -1.461 3.398 6.918
O -0.534 1.829 9.284
O 2.961 4.330 8.975
O 2.035 2.761 11.342
O 0.534 4.330 9.284
O 0.317 7.768 4.266
O 1.461 9.556 2.212
O 0.317 1.610 13.993
O -1.861 6.091 7.893
O 1.635 6.226 7.893
```

Peak list (8 most intense, 10° ≤ 2θ ≤ 90°, by intensity)
2θ (°)  I (rel.)
27.3  100
14.4  94
17.5  86
24.4  68
27.0  58
29.4  49
32.0  40
32.1  37

---

# 2
Starting from a PBE+U-relaxed structure, the powder diffractogram of Sr2YGaW2O7 was calculated for copper Kα.
No peak broadening, texture or thermal motion is included.

Atomic structure:
```
26
Lattice="-11.293 3.030 2.891 11.293 -3.030 2.891 11.293 3.030 -2.891" Properties=species:S:1:pos:R:3 pbc="T T T"
Sr 3.594 0.232 0.000
Sr 7.698 0.232 0.000
Sr 3.594 2.798 2.891
Sr 7.698 2.798 2.891
Y 0.000 3.030 2.734
Y 0.000 0.000 5.625
Ga 5.646 -0.484 2.944
Ga 5.646 3.514 0.053
W 1.616 -0.015 2.736
W 9.677 -0.015 2.736
W 1.616 3.044 -0.155
W 9.677 3.044 -0.155
O -1.706 1.101 0.862
O 12.998 1.101 0.862
O 4.020 2.699 -0.296
O 7.273 2.699 -0.296
O 4.020 0.331 2.595
O 7.273 0.331 2.595
O 1.657 1.885 1.673
O 9.635 1.885 1.673
O -5.646 2.131 1.942
O 1.706 4.959 0.862
O -1.706 1.929 3.753
O -1.657 4.174 1.673
O 1.657 1.145 4.564
O 5.646 3.928 1.942
```

Peak list (8 most intense, 10° ≤ 2θ ≤ 90°, by intensity)
2θ (°)  I (rel.)
32.0  100
30.9  34
29.5  33
43.3  28
55.7  22
38.5  21
53.9  20
21.2  12

---

# 3
Starting from a PBE+U-relaxed structure, the powder diffractogram of SrCa3Mn2O8 was calculated for copper Kα.
No peak broadening, texture or thermal motion is included.

Atomic structure:
```
14
Lattice="3.776 0.000 0.000 0.000 3.776 0.000 0.000 0.000 12.097" Properties=species:S:1:pos:R:3 pbc="T T T"
Sr 0.000 0.000 0.000
Ca 0.000 0.000 8.552
Ca 1.888 1.888 2.583
Ca 1.888 1.888 6.053
Mn 0.000 0.000 4.331
Mn 1.888 1.888 10.270
O 0.000 0.000 2.398
O 0.000 0.000 6.275
O 0.000 1.888 4.317
O 0.000 1.888 10.242
O 1.888 0.000 4.317
O 1.888 0.000 10.242
O 1.888 1.888 0.187
O 1.888 1.888 8.328
```

Peak list (8 most intense, 10° ≤ 2θ ≤ 90°, by intensity)
2θ (°)  I (rel.)
32.5  100
33.6  83
48.2  53
59.3  35
14.6  34
45.0  24
68.0  23
57.3  20

---

# 4
Starting from a PBE+U-relaxed structure, the powder diffractogram of Fe5NiO8 was calculated for copper Kα.
No peak broadening, texture or thermal motion is included.

Atomic structure:
```
14
Lattice="3.015 1.741 4.928 -3.015 1.741 4.928 0.000 -3.482 4.928" Properties=species:S:1:pos:R:3 pbc="T T T"
Fe -1.508 -0.870 4.928
Fe 0.000 0.000 1.836
Fe -1.508 0.870 9.857
Fe 0.000 1.741 4.928
Fe 0.000 0.000 12.949
Ni 0.000 0.000 7.393
O 0.000 -1.655 6.114
O -1.433 0.828 6.114
O 0.000 0.000 3.785
O -1.433 -0.828 8.671
O 1.433 0.828 6.114
O 0.000 0.000 11.000
O 1.433 -0.828 8.671
O 0.000 1.655 8.671
```

Peak list (8 most intense, 10° ≤ 2θ ≤ 90°, by intensity)
2θ (°)  I (rel.)
34.9  100
61.5  46
56.0  34
29.6  27
42.4  21
87.9  17
72.7  10
52.6  10

---

# 5
Starting from a PBE+U-relaxed structure, the powder diffractogram of Li3NiO2F2 was calculated for copper Kα.
No peak broadening, texture or thermal motion is included.

Atomic structure:
```
32
Lattice="5.018 0.000 0.000 -1.545 7.596 0.000 -1.551 -1.526 7.448" Properties=species:S:1:pos:R:3 pbc="T T T"
Li 0.000 0.000 0.000
Li 4.240 2.728 0.885
Li -1.552 3.044 3.744
Li -2.323 5.787 4.596
Li -1.507 0.834 5.491
Li 0.915 1.942 4.681
Li 1.733 1.573 1.833
Li 0.184 4.583 5.570
Li 0.962 -0.267 6.425
Li 0.960 4.300 2.724
Li 1.009 6.463 0.896
Li 3.423 5.435 1.827
Ni -0.777 0.362 2.821
Ni -2.316 3.363 6.590
Ni 1.729 -0.579 3.583
Ni 0.187 2.410 7.344
O 0.757 -0.286 1.938
O -0.775 2.745 5.640
O 0.182 0.028 4.522
O 0.196 4.589 0.779
O 1.715 1.676 6.540
O 1.734 6.222 2.804
O 1.143 4.143 7.362
O 2.707 1.096 3.630
F 0.063 2.333 2.743
F -1.465 5.403 6.488
F -0.671 4.969 3.680
F -0.657 0.444 7.426
F 2.571 3.469 1.818
F 2.587 -1.083 5.576
F 1.841 3.859 4.593
F 3.404 0.831 0.907
```

Peak list (8 most intense, 10° ≤ 2θ ≤ 90°, by intensity)
2θ (°)  I (rel.)
43.3  100
23.9  97
18.5  91
15.0  73
44.5  46
35.8  31
26.6  29
63.7  25

---

# 6
Starting from a PBE+U-relaxed structure, the powder diffractogram of Cr2O was calculated for copper Kα.
No peak broadening, texture or thermal motion is included.

Atomic structure:
```
3
Lattice="0.000 2.864 2.864 2.864 0.000 2.864 2.864 2.864 0.000" Properties=species:S:1:pos:R:3 pbc="T T T"
Cr 1.432 1.432 1.432
Cr 4.295 4.295 4.295
O 0.000 0.000 0.000
```

Peak list (8 most intense, 10° ≤ 2θ ≤ 90°, by intensity)
2θ (°)  I (rel.)
44.8  100
31.2  79
82.5  26
74.0  22
55.6  18
65.2  14
27.0  6
53.0  2